(1)
Tb12YHo2: calculated X-ray powder pattern (a wavelength of 1.5418 Å), based on a GGA-PBE-relaxed structure.

Structural model:
Unit cell a=6.6476 b=6.6476 c=24.5083 alpha=93.46 beta=93.46 gamma=115.90
Fractional positions:
Tb  0.0044  0.4591  0.2988
Tb  0.0660  0.5531  0.8294
Tb  0.1373  0.6514  0.0556
Tb  0.1579  0.1579  0.0724
Tb  0.2082  0.7410  0.5727
Tb  0.2322  0.2322  0.6526
Tb  0.2590  0.7918  0.4273
Tb  0.2966  0.2966  0.3780
Tb  0.3486  0.8627  0.9444
Tb  0.3532  0.3532  0.9220
Tb  0.4469  0.9340  0.1706
Tb  0.4591  0.0044  0.2988
Tb  0.5409  0.9956  0.7012
Tb  0.5531  0.0660  0.8294
Tb  0.6468  0.6468  0.0780
Tb  0.6514  0.1373  0.0556
Tb  0.7034  0.7034  0.6220
Tb  0.7410  0.2082  0.5727
Tb  0.7678  0.7678  0.3474
Tb  0.7918  0.2590  0.4273
Tb  0.8421  0.8421  0.9276
Tb  0.8627  0.3486  0.9444
Tb  0.9340  0.4469  0.1706
Tb  0.9956  0.5409  0.7012
Y  0.2562  0.2562  0.5149
Y  0.7438  0.7438  0.4851
Ho  0.0350  0.0350  0.7786
Ho  0.4566  0.4566  0.2244
Ho  0.5434  0.5434  0.7756
Ho  0.9650  0.9650  0.2214

Top 10 peaks for 2θ = 10–80°, sorted by position:
d = 2.960 Å, 2θ 30.20, I = 71.2; d = 2.920 Å, 2θ 30.61, I = 17.7; d = 2.828 Å, 2θ 31.63, I = 60.6; d = 2.817 Å, 2θ 31.77, I = 100.0; d = 2.782 Å, 2θ 32.18, I = 53.2; d = 2.710 Å, 2θ 33.05, I = 22.5; d = 2.678 Å, 2θ 33.46, I = 29.6; d = 2.438 Å, 2θ 36.87, I = 17.6; d = 1.992 Å, 2θ 45.55, I = 18.9; d = 1.494 Å, 2θ 62.12, I = 18.9

***

(2)
CsTeCl4: calculated X-ray powder pattern (a wavelength of 1.5418 Å), based on a GGA-PBE-relaxed structure.

Structural model:
Unit cell a=8.6833 b=8.6833 c=7.8264 alpha=108.79 beta=108.79 gamma=110.81
Fractional positions:
Cs  0.1285  0.8715  0.7500
Cs  0.8715  0.1285  0.2500
Te  0.4083  0.5917  0.2500
Te  0.5917  0.4083  0.7500
Cl  0.1335  0.5721  0.3078
Cl  0.2809  0.3437  0.7575
Cl  0.3437  0.2809  0.2575
Cl  0.4279  0.8665  0.1922
Cl  0.5721  0.1335  0.8078
Cl  0.6563  0.7191  0.7425
Cl  0.7191  0.6563  0.2425
Cl  0.8665  0.4279  0.6922

Top 10 peaks for 2θ = 10–80°, sorted by position:
d = 4.787 Å, 2θ 18.54, I = 100.0; d = 4.052 Å, 2θ 21.93, I = 89.7; d = 3.222 Å, 2θ 27.68, I = 47.7; d = 2.681 Å, 2θ 33.42, I = 34.2; d = 2.602 Å, 2θ 34.47, I = 25.2; d = 2.595 Å, 2θ 34.57, I = 31.2; d = 2.448 Å, 2θ 36.71, I = 17.3; d = 2.239 Å, 2θ 40.29, I = 13.0; d = 2.138 Å, 2θ 42.27, I = 11.9; d = 1.764 Å, 2θ 51.83, I = 12.6

***

(3)
Ca6Tl5Cu: calculated X-ray powder pattern (a wavelength of 1.5418 Å), based on a GGA-PBE-relaxed structure.

Structural model:
Unit cell a=5.4133 b=7.7893 c=8.5671 alpha=90.00 beta=108.20 gamma=90.00
Fractional positions:
Ca  0.0000  0.2381  0.0000
Ca  0.0000  0.7619  0.0000
Ca  0.3398  0.2443  0.6791
Ca  0.3398  0.7557  0.6791
Ca  0.6602  0.2443  0.3209
Ca  0.6602  0.7557  0.3209
Tl  0.1698  0.0000  0.3418
Tl  0.1696  0.5000  0.3379
Tl  0.5000  0.5000  0.0000
Tl  0.8302  0.0000  0.6582
Tl  0.8304  0.5000  0.6621
Cu  0.5000  0.0000  0.0000

Top 10 peaks for 2θ = 10–80°, sorted by position:
d = 3.895 Å, 2θ 22.83, I = 22.9; d = 3.832 Å, 2θ 23.21, I = 43.9; d = 2.732 Å, 2θ 32.79, I = 100.0; d = 2.710 Å, 2θ 33.06, I = 48.8; d = 2.224 Å, 2θ 40.56, I = 21.7; d = 1.947 Å, 2θ 46.64, I = 9.3; d = 1.736 Å, 2θ 52.73, I = 10.6; d = 1.581 Å, 2θ 58.35, I = 18.9; d = 1.570 Å, 2θ 58.81, I = 18.2; d = 1.567 Å, 2θ 58.94, I = 18.1

***

(4)
Sm3Al7Pd4: calculated X-ray powder pattern (a wavelength of 1.5418 Å), based on a GGA-PBE-relaxed structure.

Structural model:
Unit cell a=8.2048 b=8.2048 c=9.4972 alpha=123.38 beta=123.38 gamma=30.59
Fractional positions:
Sm  0.0000  0.0000  0.0000
Sm  0.3089  0.3089  0.3071
Sm  0.6911  0.6911  0.6929
Al  0.0000  0.0000  0.5000
Al  0.1510  0.1510  0.4229
Al  0.3196  0.3196  0.9739
Al  0.4963  0.4963  0.7063
Al  0.5037  0.5037  0.2937
Al  0.6804  0.6804  0.0261
Al  0.8490  0.8490  0.5771
Pd  0.1191  0.1191  0.8438
Pd  0.3393  0.3393  0.7142
Pd  0.6607  0.6607  0.2858
Pd  0.8809  0.8809  0.1562

Top 10 peaks for 2θ = 10–80°, sorted by position:
d = 3.997 Å, 2θ 22.24, I = 36.2; d = 3.391 Å, 2θ 26.28, I = 30.5; d = 3.346 Å, 2θ 26.64, I = 28.7; d = 3.063 Å, 2θ 29.16, I = 71.6; d = 2.728 Å, 2θ 32.83, I = 31.4; d = 2.603 Å, 2θ 34.45, I = 99.7; d = 2.554 Å, 2θ 35.14, I = 100.0; d = 2.544 Å, 2θ 35.28, I = 86.9; d = 2.512 Å, 2θ 35.74, I = 46.9; d = 2.165 Å, 2θ 41.72, I = 97.0

***

(5)
Tb2MgPt9: calculated X-ray powder pattern (a wavelength of 1.5418 Å), based on a GGA-PBE-relaxed structure.

Structural model:
Unit cell a=4.0868 b=4.0868 c=12.1627 alpha=90.00 beta=90.00 gamma=90.00
Fractional positions:
Tb  0.0000  0.0000  0.1720
Tb  0.0000  0.0000  0.8280
Mg  0.0000  0.0000  0.5000
Pt  0.0000  0.5000  0.0000
Pt  0.0000  0.5000  0.3442
Pt  0.0000  0.5000  0.6558
Pt  0.5000  0.0000  0.0000
Pt  0.5000  0.0000  0.3442
Pt  0.5000  0.0000  0.6558
Pt  0.5000  0.5000  0.1717
Pt  0.5000  0.5000  0.5000
Pt  0.5000  0.5000  0.8283

Top 10 peaks for 2θ = 10–80°, sorted by position:
d = 4.087 Å, 2θ 21.75, I = 2.7; d = 2.878 Å, 2θ 31.07, I = 2.2; d = 2.610 Å, 2θ 34.36, I = 2.2; d = 2.353 Å, 2θ 38.25, I = 100.0; d = 2.043 Å, 2θ 44.33, I = 33.8; d = 2.027 Å, 2θ 44.70, I = 15.3; d = 1.445 Å, 2θ 64.49, I = 11.2; d = 1.439 Å, 2θ 64.78, I = 20.5; d = 1.231 Å, 2θ 77.53, I = 26.2; d = 1.224 Å, 2θ 78.06, I = 11.0

***

(6)
Sm3Ga3Ag2: calculated X-ray powder pattern (a wavelength of 1.5418 Å), based on a GGA-PBE-relaxed structure.

Structural model:
Unit cell a=5.8596 b=5.8596 c=15.0829 alpha=90.00 beta=90.00 gamma=134.51
Fractional positions:
Sm  0.0953  0.9047  0.6087
Sm  0.0953  0.9047  0.8913
Sm  0.3672  0.6328  0.7500
Sm  0.6328  0.3672  0.2500
Sm  0.9047  0.0953  0.1087
Sm  0.9047  0.0953  0.3913
Ga  0.3464  0.6536  0.2500
Ga  0.3960  0.6040  0.5409
Ga  0.3960  0.6040  0.9591
Ga  0.6040  0.3960  0.0409
Ga  0.6040  0.3960  0.4591
Ga  0.6536  0.3464  0.7500
Ag  0.2031  0.7969  0.0981
Ag  0.2031  0.7969  0.4019
Ag  0.7969  0.2031  0.5981
Ag  0.7969  0.2031  0.9019

Top 10 peaks for 2θ = 10–80°, sorted by position:
d = 2.800 Å, 2θ 31.97, I = 100.0; d = 2.772 Å, 2θ 32.30, I = 58.5; d = 2.702 Å, 2θ 33.16, I = 21.0; d = 2.638 Å, 2θ 33.99, I = 33.3; d = 2.514 Å, 2θ 35.72, I = 27.3; d = 2.460 Å, 2θ 36.53, I = 53.3; d = 2.380 Å, 2θ 37.80, I = 16.6; d = 2.266 Å, 2θ 39.78, I = 47.6; d = 2.258 Å, 2θ 39.92, I = 41.1; d = 1.684 Å, 2θ 54.50, I = 25.2

***

(7)
GaNiPt3: calculated X-ray powder pattern (a wavelength of 1.5418 Å), based on a GGA-PBE-relaxed structure.

Structural model:
Unit cell a=9.3688 b=9.3688 c=3.9734 alpha=90.00 beta=90.00 gamma=155.50
Fractional positions:
Ga  0.1510  0.8490  0.7500
Ga  0.8490  0.1510  0.2500
Ni  0.3477  0.6523  0.7500
Ni  0.6523  0.3477  0.2500
Pt  0.0579  0.9421  0.2500
Pt  0.2495  0.7505  0.2500
Pt  0.4445  0.5555  0.2500
Pt  0.5555  0.4445  0.7500
Pt  0.7505  0.2495  0.7500
Pt  0.9421  0.0579  0.7500

Top 10 peaks for 2θ = 10–80°, sorted by position:
d = 4.578 Å, 2θ 19.39, I = 6.0; d = 3.052 Å, 2θ 29.26, I = 9.2; d = 2.778 Å, 2θ 32.22, I = 16.6; d = 2.230 Å, 2θ 40.46, I = 100.0; d = 1.987 Å, 2θ 45.65, I = 36.4; d = 1.831 Å, 2θ 49.80, I = 12.8; d = 1.665 Å, 2θ 55.15, I = 6.7; d = 1.432 Å, 2θ 65.13, I = 6.0; d = 1.405 Å, 2θ 66.54, I = 11.9; d = 1.347 Å, 2θ 69.85, I = 18.5

***

(8)
Sm3Zn2GePd9: calculated X-ray powder pattern (a wavelength of 1.5418 Å), based on a GGA-PBE-relaxed structure.

Structural model:
Unit cell a=5.6832 b=5.6832 c=11.2855 alpha=90.00 beta=90.00 gamma=120.00
Fractional positions:
Sm  0.0000  0.0000  0.0000
Sm  0.3333  0.6667  0.7505
Sm  0.6667  0.3333  0.2495
Zn  0.3333  0.6667  0.1701
Zn  0.6667  0.3333  0.8299
Ge  0.0000  0.0000  0.5000
Pd  0.0000  0.5000  0.0000
Pd  0.1696  0.3392  0.3430
Pd  0.1696  0.8304  0.3430
Pd  0.3392  0.1696  0.6570
Pd  0.5000  0.0000  0.0000
Pd  0.5000  0.5000  0.0000
Pd  0.6608  0.8304  0.3430
Pd  0.8304  0.1696  0.6570
Pd  0.8304  0.6608  0.6570

Top 10 peaks for 2θ = 10–80°, sorted by position:
d = 3.762 Å, 2θ 23.65, I = 46.6; d = 3.709 Å, 2θ 23.99, I = 25.7; d = 2.989 Å, 2θ 29.90, I = 19.0; d = 2.404 Å, 2θ 37.40, I = 70.9; d = 2.256 Å, 2θ 39.97, I = 100.0; d = 2.052 Å, 2θ 44.14, I = 20.4; d = 2.002 Å, 2θ 45.29, I = 15.6; d = 1.855 Å, 2θ 49.13, I = 32.8; d = 1.421 Å, 2θ 65.72, I = 26.2; d = 1.224 Å, 2θ 78.11, I = 15.7

***

(9)
Nd8Te4PtS3: calculated X-ray powder pattern (a wavelength of 1.5418 Å), based on a GGA-PBE-relaxed structure.

Structural model:
Unit cell a=8.7473 b=8.7473 c=8.7473 alpha=58.32 beta=58.32 gamma=58.32
Fractional positions:
Nd  0.2364  0.2364  0.2364
Nd  0.2391  0.7384  0.7384
Nd  0.2616  0.2616  0.7609
Nd  0.2616  0.7609  0.2616
Nd  0.7384  0.2391  0.7384
Nd  0.7384  0.7384  0.2391
Nd  0.7609  0.2616  0.2616
Nd  0.7636  0.7636  0.7636
Te  0.0000  0.0000  0.0000
Te  0.0000  0.5000  0.5000
Te  0.5000  0.0000  0.5000
Te  0.5000  0.5000  0.0000
Pt  0.5000  0.5000  0.5000
S  0.0000  0.0000  0.5000
S  0.0000  0.5000  0.0000
S  0.5000  0.0000  0.0000

Top 10 peaks for 2θ = 10–80°, sorted by position:
d = 3.052 Å, 2θ 29.27, I = 100.0; d = 2.811 Å, 2θ 31.83, I = 8.8; d = 2.185 Å, 2θ 41.31, I = 33.1; d = 2.131 Å, 2θ 42.41, I = 38.2; d = 1.747 Å, 2θ 52.36, I = 19.5; d = 1.597 Å, 2θ 57.74, I = 7.0; d = 1.526 Å, 2θ 60.70, I = 10.6; d = 1.379 Å, 2θ 68.00, I = 11.2; d = 1.351 Å, 2θ 69.58, I = 16.5; d = 1.241 Å, 2θ 76.84, I = 10.6

***

(10)
PrAgPbBr6: calculated X-ray powder pattern (a wavelength of 1.5418 Å), based on a GGA-PBE-relaxed structure.

Structural model:
Unit cell a=7.3274 b=7.3274 c=13.6099 alpha=90.00 beta=90.00 gamma=120.00
Fractional positions:
Pr  0.3333  0.6667  0.2500
Pr  0.6667  0.3333  0.7500
Ag  0.3333  0.6667  0.7500
Ag  0.6667  0.3333  0.2500
Pb  0.0000  0.0000  0.0000
Pb  0.0000  0.0000  0.5000
Br  0.0031  0.3476  0.6271
Br  0.0031  0.6555  0.8729
Br  0.3445  0.3476  0.8729
Br  0.3445  0.9969  0.6271
Br  0.3476  0.0031  0.1271
Br  0.3476  0.3445  0.3729
Br  0.6524  0.6555  0.6271
Br  0.6524  0.9969  0.8729
Br  0.6555  0.0031  0.3729
Br  0.6555  0.6524  0.1271
Br  0.9969  0.3445  0.1271
Br  0.9969  0.6524  0.3729

Top 10 peaks for 2θ = 10–80°, sorted by position:
d = 4.641 Å, 2θ 19.12, I = 100.0; d = 3.226 Å, 2θ 27.65, I = 69.6; d = 2.876 Å, 2θ 31.10, I = 30.4; d = 2.493 Å, 2θ 36.02, I = 93.1; d = 2.262 Å, 2θ 39.85, I = 32.4; d = 2.115 Å, 2θ 42.75, I = 51.3; d = 1.703 Å, 2θ 53.84, I = 22.5; d = 1.613 Å, 2θ 57.10, I = 23.9; d = 1.326 Å, 2θ 71.12, I = 22.3; d = 1.283 Å, 2θ 73.89, I = 22.1

***

(11)
Cs2HoGaO4: calculated X-ray powder pattern (a wavelength of 1.5418 Å), based on a GGA-PBE-relaxed structure.

Structural model:
Unit cell a=13.3662 b=12.0170 c=7.0413 alpha=84.80 beta=63.56 gamma=31.64
Fractional positions:
Cs  0.0540  0.0540  0.6960
Cs  0.3040  0.3040  0.9460
Cs  0.6960  0.6960  0.0540
Cs  0.9460  0.9460  0.3040
Ho  0.1250  0.1250  0.1250
Ho  0.8750  0.8750  0.8750
Ga  0.3750  0.3750  0.3750
Ga  0.6250  0.6250  0.6250
O  0.0281  0.6391  0.5520
O  0.2808  0.5520  0.6391
O  0.3609  0.9719  0.7192
O  0.4480  0.7192  0.9719
O  0.5520  0.2808  0.0281
O  0.6391  0.0281  0.2808
O  0.7192  0.4480  0.3609
O  0.9719  0.3609  0.4480

Top 10 peaks for 2θ = 10–80°, sorted by position:
d = 5.847 Å, 2θ 15.15, I = 41.3; d = 4.975 Å, 2θ 17.83, I = 38.6; d = 3.445 Å, 2θ 25.87, I = 32.4; d = 3.339 Å, 2θ 26.70, I = 100.0; d = 3.237 Å, 2θ 27.56, I = 44.1; d = 2.752 Å, 2θ 32.53, I = 35.0; d = 2.546 Å, 2θ 35.25, I = 47.4; d = 2.257 Å, 2θ 39.94, I = 33.7; d = 1.852 Å, 2θ 49.21, I = 37.0; d = 1.702 Å, 2θ 53.86, I = 24.3

***

(12)
Ti6Ga6Sn: calculated X-ray powder pattern (a wavelength of 1.5418 Å), based on a GGA-PBE-relaxed structure.

Structural model:
Unit cell a=5.2354 b=5.2354 c=9.2919 alpha=90.00 beta=90.00 gamma=120.00
Fractional positions:
Ti  0.0000  0.0000  0.1288
Ti  0.0000  0.0000  0.8712
Ti  0.3333  0.6667  0.0000
Ti  0.3333  0.6667  0.5000
Ti  0.6667  0.3333  0.0000
Ti  0.6667  0.3333  0.5000
Ga  0.0000  0.5000  0.2478
Ga  0.0000  0.5000  0.7522
Ga  0.5000  0.0000  0.2478
Ga  0.5000  0.0000  0.7522
Ga  0.5000  0.5000  0.2478
Ga  0.5000  0.5000  0.7522
Sn  0.0000  0.0000  0.5000

Top 10 peaks for 2θ = 10–80°, sorted by position:
d = 3.245 Å, 2θ 27.49, I = 35.8; d = 2.618 Å, 2θ 34.26, I = 24.5; d = 2.558 Å, 2θ 35.09, I = 23.9; d = 2.323 Å, 2θ 38.76, I = 37.2; d = 2.281 Å, 2θ 39.51, I = 100.0; d = 2.267 Å, 2θ 39.76, I = 76.3; d = 2.037 Å, 2θ 44.47, I = 59.6; d = 1.622 Å, 2θ 56.74, I = 24.6; d = 1.437 Å, 2θ 64.88, I = 24.3; d = 1.309 Å, 2θ 72.17, I = 27.2